Ca2CoNi: theoretical XRD peak list (Cu Kα (weighted mean of Kα1 and Kα2)), based on a cell relaxed with PBE.

Structural model:
```
Ca2CoNi
1.0
-1.924 2.168 5.736
1.924 -2.168 5.736
1.924 2.168 -5.736
Ca Co Ni
2 1 1
direct
0.000 0.000 0.000
0.742 0.242 0.500
0.327 0.827 0.500
0.421 0.421 0.000
```

The 10 most intense peaks (10° ≤ 2θ ≤ 90°), by angle:
Position (°2θ), intensity
15.4, 82
21.9, 27
31.2, 61
34.9, 100
41.7, 28
44.6, 39
46.1, 34
47.2, 19
57.7, 19
63.8, 23